(1)
Starting from DFT lattice parameters and positions (GGA-PBE), the X-ray powder pattern of AcDyGa2Cu2 was simulated for a wavelength of 1.5418 Å.

Largest 10 diffraction maxima, sorted by position, 5° ≤ 2θ ≤ 70°:
| d (Å) | two_theta | I (rel.) |
| --- | --- | --- |
| 3.867 | 23.00 | 278 |
| 3.445 | 25.86 | 79 |
| 2.707 | 33.10 | 1000 |
| 2.233 | 40.39 | 519 |
| 1.895 | 48.02 | 56 |
| 1.722 | 53.18 | 262 |
| 1.701 | 53.88 | 113 |
| 1.673 | 54.88 | 75 |
| 1.445 | 64.50 | 138 |
| 1.364 | 68.84 | 241 |

Structural model:
```
AcDyGa2Cu2
1.0
4.4658 0.0000 0.0000
-2.2329 3.8675 0.0000
0.0000 0.0000 7.5786
Ac Dy Ga Cu
1 1 2 2
Cartesian
0.0000 0.0000 0.0000
0.0000 0.0000 3.7893
0.0000 2.5783 2.2196
2.2329 1.2892 5.3590
0.0000 2.5783 5.2824
2.2329 1.2892 2.2962
```

***

(2)
Starting from DFT lattice parameters and positions (GGA-PBE), the X-ray powder pattern of BC5 was simulated for a wavelength of 1.5418 Å.

Largest 10 diffraction maxima, sorted by position, 5° ≤ 2θ ≤ 70°:
| d (Å) | two_theta | I (rel.) |
| --- | --- | --- |
| 7.747 | 11.42 | 55 |
| 3.873 | 22.96 | 8 |
| 3.682 | 24.17 | 31 |
| 3.314 | 26.90 | 34 |
| 2.681 | 33.42 | 9 |
| 2.657 | 33.74 | 7 |
| 2.410 | 37.32 | 8 |
| 2.123 | 42.58 | 483 |
| 2.105 | 42.97 | 520 |
| 2.088 | 43.33 | 1000 |

Structural model:
```
BC5
1.0
3.6825 0.0000 0.0000
0.0000 2.5353 0.0000
-0.0717 0.0000 7.7467
B C
2 10
Cartesian
0.4495 0.6338 2.5438
3.1613 1.9015 5.2029
0.3785 0.6338 7.7427
0.5155 0.6338 5.1742
1.3283 0.6338 6.4911
1.3831 0.6338 1.2389
1.3884 0.6338 3.9464
2.2224 1.9015 3.8003
2.2277 1.9015 6.5078
2.2825 1.9015 1.2556
3.0953 1.9015 2.5725
3.2324 1.9015 0.0040
```

***

(3)
Starting from DFT lattice parameters and positions (GGA-PBE), the X-ray powder pattern of Pm5Te5C was simulated for a wavelength of 1.5418 Å.

Largest 10 diffraction maxima, sorted by position, 5° ≤ 2θ ≤ 70°:
| d (Å) | two_theta | I (rel.) |
| --- | --- | --- |
| 3.089 | 28.91 | 1000 |
| 3.027 | 29.51 | 430 |
| 2.969 | 30.10 | 132 |
| 2.591 | 34.63 | 140 |
| 2.184 | 41.34 | 343 |
| 2.163 | 41.76 | 468 |
| 2.157 | 41.88 | 139 |
| 1.773 | 51.55 | 145 |
| 1.769 | 51.66 | 151 |
| 1.377 | 68.11 | 94 |

Structural model:
```
Pm5Te5C
1.0
6.8798 -3.0924 0.0000
6.8798 3.0924 0.0000
-2.8608 0.0000 8.1423
Pm Te C
5 5 1
Cartesian
0.0000 0.0000 0.0000
4.4818 0.0000 1.1536
2.8837 0.0000 5.7809
8.0150 0.0000 2.3614
6.4170 0.0000 6.9887
-0.1412 0.0000 6.6339
1.5130 0.0000 2.7219
5.4494 0.0000 4.0712
9.3858 0.0000 5.4205
11.0399 0.0000 1.5085
6.8798 0.0000 0.0000
```

***

(4)
Starting from DFT lattice parameters and positions (GGA-PBE), the X-ray powder pattern of Er3IrRh was simulated for a wavelength of 1.5418 Å.

Largest 10 diffraction maxima, sorted by position, 5° ≤ 2θ ≤ 70°:
| d (Å) | two_theta | I (rel.) |
| --- | --- | --- |
| 2.986 | 29.92 | 383 |
| 2.653 | 33.79 | 245 |
| 2.638 | 33.98 | 426 |
| 2.554 | 35.13 | 917 |
| 2.509 | 35.78 | 294 |
| 2.459 | 36.54 | 1000 |
| 2.449 | 36.70 | 556 |
| 2.435 | 36.91 | 247 |
| 2.331 | 38.63 | 264 |
| 2.187 | 41.27 | 232 |

Structural model:
```
Er3IrRh
1.0
8.9682 -4.2109 0.0000
8.9682 4.2109 0.0000
-2.2609 0.0000 6.0154
Er Ir Rh
12 4 4
Cartesian
1.2217 0.2877 5.5858
5.9491 2.1455 5.7195
2.3522 -0.2877 2.5781
5.4901 0.9052 2.3354
8.5960 2.1455 3.3035
4.3597 -0.9052 5.3431
11.3158 0.9052 0.6723
7.0795 -2.1455 2.7119
10.1854 -0.9052 3.6799
13.3233 0.2877 3.4372
9.7264 -2.1455 0.2958
14.4538 -0.2877 0.4296
3.4749 1.6816 4.4522
4.6053 -1.6816 1.4446
11.0702 1.6816 4.5708
12.2006 -1.6816 1.5631
8.4030 4.1837 1.5038
8.4030 0.0022 1.5038
7.2725 -0.0022 4.5115
7.2725 -4.1837 4.5115
```

***

(5)
Starting from DFT lattice parameters and positions (GGA-PBE), the X-ray powder pattern of La3Pr2Ni2 was simulated for a wavelength of 1.5418 Å.

Largest 10 diffraction maxima, sorted by position, 5° ≤ 2θ ≤ 70°:
| d (Å) | two_theta | I (rel.) |
| --- | --- | --- |
| 3.202 | 27.87 | 597 |
| 3.078 | 29.01 | 664 |
| 3.054 | 29.24 | 845 |
| 2.952 | 30.27 | 1000 |
| 2.893 | 30.91 | 974 |
| 2.806 | 31.89 | 897 |
| 2.634 | 34.04 | 859 |
| 2.604 | 34.44 | 706 |
| 2.383 | 37.75 | 777 |
| 1.601 | 57.55 | 758 |

Structural model:
```
La3Pr2Ni2
1.0
12.3371 0.0000 0.0000
0.0000 3.8438 0.0000
-3.6298 0.0000 8.4770
La Pr Ni
6 4 4
Cartesian
0.0000 0.0000 0.0000
-0.1235 0.0000 3.6226
2.6622 1.9219 4.8544
6.1686 1.9219 0.0000
6.0451 1.9219 3.6226
8.8308 0.0000 4.8544
-0.8403 1.9219 6.8472
3.3791 0.0000 1.6298
5.3282 0.0000 6.8472
9.5476 1.9219 1.6298
1.1107 1.9219 1.8810
1.4280 0.0000 6.5959
7.2792 0.0000 1.8810
7.5966 1.9219 6.5959
```

***

(6)
Starting from DFT lattice parameters and positions (GGA-PBE), the X-ray powder pattern of Pr3Sm4Er2 was simulated for a wavelength of 1.5418 Å.

Largest 10 diffraction maxima, sorted by position, 5° ≤ 2θ ≤ 70°:
| d (Å) | two_theta | I (rel.) |
| --- | --- | --- |
| 3.144 | 28.39 | 525 |
| 3.004 | 29.74 | 553 |
| 2.851 | 31.38 | 764 |
| 2.718 | 32.95 | 1000 |
| 2.578 | 34.79 | 120 |
| 2.172 | 41.58 | 351 |
| 1.815 | 50.26 | 411 |
| 1.645 | 55.88 | 291 |
| 1.554 | 59.50 | 467 |
| 1.510 | 61.42 | 167 |

Structural model:
```
Pr3Sm4Er2
1.0
3.6306 0.0000 0.0000
-1.8153 3.1442 0.0000
0.0000 0.0000 27.0328
Pr Sm Er
3 4 2
Cartesian
0.0000 0.0000 0.0000
0.0000 0.0000 9.1157
1.8153 1.0481 18.1683
0.0000 0.0000 15.1200
0.0000 0.0000 21.2229
1.8153 1.0481 6.2042
1.8153 1.0481 12.2166
1.8153 1.0481 2.8468
1.8153 1.0481 24.0413
```